This entry pairs a crystal structure of AgAs2O6 with its calculated powder diffractogram. Radiation: Cu Kα X-rays. Structure: a structure optimized by DFT (GGA-PBE).

Lattice parameters (Å, degrees): 11.2213 9.5293 5.4277 90.00 109.54 90.00
Space group C2/c (No. 15)
One atom of each set of equivalent atoms:
Ag: 0.0000 0.1226 0.2500
As: 0.2243 0.4064 0.2439
O: 0.1147 0.0714 0.6493
O: 0.1531 0.4948 0.4515
O: 0.1677 0.2428 0.1968

Most intense lines, 2θ = 10–90°, low angle first:
(hkl)  Position (°2θ)  I/Imax
1 1 0  12.5  38
1 1 -1  19.0  31
1 1 1  23.6  24
3 1 0  27.0  37
2 2 -1  27.2  100
2 2 1  33.9  55
0 0 2  35.1  29
4 0 -2  40.0  21
4 4 0  51.6  18
0 4 2  52.5  20

---

This entry pairs a crystal structure of RbNiC2BrN2 with its calculated powder diffractogram. Radiation: Cu Kα X-rays. Structure: a structure optimized by DFT (GGA-PBE).

Lattice parameters (Å, degrees): 7.0925 7.0925 11.7279 90.00 90.00 90.00
Space group I4/mmm (No. 139)
One atom of each set of equivalent atoms:
Rb: 0.0000 0.5000 0.2500
Ni: 0.0000 0.0000 0.0000
Ni: 0.0000 0.0000 0.5000
C: 0.1834 0.1834 0.0000
Br: 0.0000 0.0000 0.2721
N: 0.1996 0.1996 0.5000

Most intense lines, 2θ = 10–90°, low angle first:
(hkl)  Position (°2θ)  I/Imax
1 1 0  17.7  30
1 1 2  23.3  41
2 0 0  25.1  100
2 0 2  29.4  68
0 0 4  30.5  60
2 2 0  35.8  70
2 0 4  39.9  53
2 2 4  47.7  54
4 2 0  58.2  26
4 2 4  67.1  30

---

This entry pairs a crystal structure of NaCd6In6 with its calculated powder diffractogram. Radiation: Cu Kα X-rays. Structure: a structure optimized by DFT (GGA-PBE).

Lattice parameters (Å, degrees): 5.9018 10.2852 11.1128 90.00 90.00 90.00
Space group Immm (No. 71)
One atom of each set of equivalent atoms:
Na: 0.0000 0.0000 0.0000
Cd: 0.0000 0.5000 0.2819
Cd: 0.2500 0.2500 0.2500
In: 0.0000 0.0000 0.3581
In: 0.0000 0.3088 0.5000
In: 0.0000 0.3474 0.0000

Most intense lines, 2θ = 10–90°, low angle first:
(hkl)  Position (°2θ)  I/Imax
0 2 0  17.3  26
0 0 4  32.2  37
1 2 3  33.5  35
1 3 2  34.3  60
2 0 2  34.4  37
2 2 0  35.1  36
0 2 4  36.8  77
0 4 2  38.6  41
2 2 2  38.7  100
2 0 6  58.8  34

---

This entry pairs a crystal structure of Tb2Dy3Ho7 with its calculated powder diffractogram. Radiation: Cu Kα X-rays. Structure: a structure optimized by DFT (GGA-PBE).

Lattice parameters (Å, degrees): 5.6437 37.4281 3.5683 90.00 90.00 90.00
Space group Cmmm (No. 65)
One atom of each set of equivalent atoms:
Tb: 0.0000 0.1474 0.0000
Dy: 0.0000 0.3150 0.5000
Dy: 0.0000 0.5000 0.5000
Ho: 0.0000 0.0000 0.0000
Ho: 0.0000 0.0717 0.5000
Ho: 0.0000 0.2308 0.0000
Ho: 0.0000 0.4087 0.0000

Most intense lines, 2θ = 10–90°, low angle first:
(hkl)  Position (°2θ)  I/Imax
0 12 0  28.6  18
1 11 0  30.7  41
0 8 1  31.5  25
2 0 0  31.7  58
1 5 1  32.0  100
1 7 1  34.1  35
1 13 0  35.0  26
2 8 1  45.3  19
3 5 1  56.7  20
2 0 2  61.5  18

---

This entry pairs a crystal structure of LiInC with its calculated powder diffractogram. Radiation: Cu Kα X-rays. Structure: a structure optimized by DFT (GGA-PBE).

Lattice parameters (Å, degrees): 4.4472 4.4472 11.6162 90.00 90.00 90.00
Space group I-4m2 (No. 119)
One atom of each set of equivalent atoms:
Li: 0.0000 0.0000 0.1881
In: 0.0000 0.5000 0.0017
C: 0.0000 0.5000 0.6955

Most intense lines, 2θ = 10–90°, low angle first:
(hkl)  Position (°2θ)  I/Imax
0 0 2  15.3  100
1 1 0  28.4  66
0 0 4  30.8  25
1 1 2  32.4  77
2 0 0  40.6  29
1 1 4  42.4  41
2 0 2  43.6  30
2 0 4  51.8  22
1 1 6  55.8  17
3 1 2  68.7  17

---

This entry pairs a crystal structure of InGeRh4 with its calculated powder diffractogram. Radiation: Cu Kα X-rays. Structure: a structure optimized by DFT (GGA-PBE).

Lattice parameters (Å, degrees): 5.8045 5.8046 6.2365 90.00 90.08 90.00
Space group C2/m (No. 12)
One atom of each set of equivalent atoms:
In: 0.0000 0.0000 0.0000
Ge: 0.0000 0.5000 0.5000
Rh: 0.2501 0.2502 0.2759

Most intense lines, 2θ = 10–90°, low angle first:
(hkl)  Position (°2θ)  I/Imax
1 1 1  26.0  40
0 0 2  28.6  9
2 0 0  30.8  19
2 0 2  42.6  100
2 2 0  44.1  48
1 3 -1  51.9  12
0 0 4  59.3  7
4 0 0  64.2  15
2 2 4  76.8  13
4 2 2  80.1  30

---

This entry pairs a crystal structure of RuPb with its calculated powder diffractogram. Radiation: Cu Kα X-rays. Structure: a structure optimized by DFT (GGA-PBE).

Lattice parameters (Å, degrees): 3.0982 3.0982 10.5881 90.00 90.00 120.00
Space group P-3m1 (No. 164)
One atom of each set of equivalent atoms:
Ru: 0.3333 0.6667 0.0894
Pb: 0.3333 0.6667 0.6849

Most intense lines, 2θ = 10–90°, low angle first:
(hkl)  Position (°2θ)  I/Imax
0 0 2  16.7  22
0 0 3  25.2  32
1 0 0  33.4  35
0 1 1  34.5  36
0 1 2  37.6  100
1 0 3  42.3  47
0 0 5  42.7  20
0 1 5  55.3  23
1 1 0  59.7  27
1 1 5  76.1  22

---

This entry pairs a crystal structure of RbNaBe with its calculated powder diffractogram. Radiation: Cu Kα X-rays. Structure: a structure optimized by DFT (GGA-PBE).

Lattice parameters (Å, degrees): 4.2122 6.7663 8.4070 78.81 89.90 89.71
Space group P1 (No. 1)
One atom of each set of equivalent atoms:
Rb: 0.0000 0.0000 0.0000
Rb: 0.4995 0.8973 0.5490
Na: 0.4952 0.4629 0.1747
Na: 0.9959 0.4086 0.5709
Be: 0.4856 0.4886 0.8426
Be: 0.9853 0.5146 0.8716

Most intense lines, 2θ = 10–90°, low angle first:
(hkl)  Position (°2θ)  I/Imax
0 1 0  13.3  78
0 0 2  21.6  79
0 1 2  23.1  60
1 0 -1  23.7  78
1 1 1  26.2  71
-1 1 1  26.3  69
0 2 0  26.9  75
1 -1 1  28.3  100
0 2 2  31.1  33
1 0 -3  39.1  30

---

This entry pairs a crystal structure of Cu3AuI9 with its calculated powder diffractogram. Radiation: Cu Kα X-rays. Structure: a structure optimized by DFT (GGA-PBE).

Lattice parameters (Å, degrees): 13.2981 13.3259 12.2662 90.00 90.00 90.00
Space group C222_1 (No. 20)
One atom of each set of equivalent atoms:
Cu: 0.0000 0.2398 0.2500
Cu: 0.1870 0.0008 0.6905
Au: 0.0000 0.2961 0.7500
I: 0.0102 0.3031 0.4413
I: 0.1127 0.0000 0.5000
I: 0.1303 0.4597 0.7406
I: 0.1432 0.1361 0.1638
I: 0.1484 0.1604 0.8015

Most intense lines, 2θ = 10–90°, low angle first:
(hkl)  Position (°2θ)  I/Imax
0 0 2  14.4  100
2 2 0  18.9  65
3 1 0  21.1  39
1 1 3  23.7  81
2 0 3  25.6  76
3 3 0  28.4  53
4 2 0  30.0  41
1 3 3  30.5  38
2 4 3  37.4  45
4 4 3  44.4  38

---

This entry pairs a crystal structure of Li7Mg3Sn2 with its calculated powder diffractogram. Radiation: Cu Kα X-rays. Structure: a structure optimized by DFT (GGA-PBE).

Lattice parameters (Å, degrees): 4.7350 3.2032 16.4425 90.00 98.01 90.00
Space group P2/m (No. 10)
One atom of each set of equivalent atoms:
Li: 0.0000 0.0000 0.0000
Li: 0.0891 0.5000 0.1773
Li: 0.2709 0.5000 0.5424
Li: 0.4268 0.0000 0.8549
Mg: 0.1845 0.0000 0.3704
Mg: 0.5000 0.5000 0.0000
Sn: 0.3573 0.5000 0.7134

Most intense lines, 2θ = 10–90°, low angle first:
(hkl)  Position (°2θ)  I/Imax
0 0 2  10.9  100
0 0 3  16.3  47
1 0 0  18.9  40
1 0 -2  20.5  31
1 0 3  26.8  26
1 0 -4  26.9  26
1 1 0  33.9  28
1 1 -2  34.8  44
1 0 5  35.7  31
1 1 3  39.1  40